[1]
# Pm5MgSi3
Simulated powder diffraction line list, copper Kα. Input: DFT lattice parameters and positions (PBE).
Peak positions follow from Bragg's law for the DFT cell and can differ from measured ones.

Most intense lines, 2θ = 10–90°, in order of rising 2θ:
2θ (°), intensity
11.3, 13.0
22.6, 15.4
24.1, 65.5
33.3, 13.6
34.2, 98.5
34.5, 100.0
49.4, 33.9
61.3, 14.2
61.5, 30.6
69.3, 25.1

Crystal structure
```
data_Pm5MgSi3
_chemical_formula_sum 'Pm10 Mg2 Si6'
_cell_length_a 9.0767
_cell_length_b 9.0767
_cell_length_c 6.3428
_cell_angle_alpha 90.00
_cell_angle_beta 90.00
_cell_angle_gamma 120.00
_symmetry_space_group_name_H-M 'P 63/m c m'
_symmetry_Int_Tables_number 193
_symmetry_space_group_name_Hall '-P 6c 2'
loop_
_atom_site_label
_atom_site_type_symbol
_atom_site_fract_x
_atom_site_fract_y
_atom_site_fract_z
Pm1 Pm 0.0000 0.3038 0.2500
Pm2 Pm 0.3333 0.6667 0.0000
Mg1 Mg 0.0000 0.0000 0.0000
Si1 Si 0.0000 0.3574 0.7500
```

[2]
# Pm14SmMg
Simulated powder diffraction line list, copper Kα. Input: DFT lattice parameters and positions (PBE).
Peak positions follow from Bragg's law for the DFT cell and can differ from measured ones.

Most intense lines, 2θ = 10–90°, in order of rising 2θ:
2θ (°), intensity
30.2, 100.0
35.0, 17.0
35.1, 33.7
50.4, 36.1
59.8, 14.4
60.0, 28.6
62.9, 12.4
82.0, 11.7
82.1, 5.8
84.7, 10.9

Crystal structure
```
data_Pm14SmMg
_chemical_formula_sum 'Pm28 Sm2 Mg2'
_cell_length_a 10.2660
_cell_length_b 10.2313
_cell_length_c 10.2326
_cell_angle_alpha 90.00
_cell_angle_beta 90.00
_cell_angle_gamma 90.00
_symmetry_space_group_name_H-M 'A m m 2'
_symmetry_Int_Tables_number 38
loop_
_symmetry_equiv_pos_as_xyz
'x,y,z'
'-x,-y,z'
'-x,y,z'
'x,-y,z'
'x,y+1/2,z+1/2'
'-x,-y+1/2,z+1/2'
'-x,y+1/2,z+1/2'
'x,-y+1/2,z+1/2'
loop_
_atom_site_label
_atom_site_type_symbol
_atom_site_fract_x
_atom_site_fract_y
_atom_site_fract_z
Pm1 Pm 0.0000 0.0000 0.0000
Pm2 Pm 0.0000 0.0000 0.4995
Pm3 Pm 0.0000 0.2494 0.2498
Pm4 Pm 0.2513 0.0000 0.7493
Pm5 Pm 0.2523 0.2494 0.4996
Pm6 Pm 0.2532 0.0000 0.2501
Pm7 Pm 0.5000 0.2488 0.7493
Sm1 Sm 0.5000 0.0000 0.9996
Mg1 Mg 0.5000 0.0000 0.4987
```

[3]
# Pm6Sm2Mg
Simulated powder diffraction line list, copper Kα. Input: DFT lattice parameters and positions (PBE).
Peak positions follow from Bragg's law for the DFT cell and can differ from measured ones.

Most intense lines, 2θ = 10–90°, in order of rising 2θ:
2θ (°), intensity
26.3, 21.5
27.1, 31.2
29.1, 31.3
31.6, 78.6
31.8, 100.0
32.4, 56.2
33.4, 61.0
44.1, 21.9
50.4, 21.4
64.1, 24.4

Crystal structure
```
data_Pm6Sm2Mg
_chemical_formula_sum 'Pm24 Sm8 Mg4'
_cell_length_a 6.1427
_cell_length_b 9.5085
_cell_length_c 20.3475
_cell_angle_alpha 90.00
_cell_angle_beta 90.00
_cell_angle_gamma 90.00
_symmetry_space_group_name_H-M 'I b a m'
_symmetry_Int_Tables_number 72
_symmetry_space_group_name_Hall '-I 2 2c'
loop_
_atom_site_label
_atom_site_type_symbol
_atom_site_fract_x
_atom_site_fract_y
_atom_site_fract_z
Pm1 Pm 0.0000 0.0000 0.0822
Pm2 Pm 0.0990 0.3249 0.1724
Sm1 Sm 0.0458 0.3305 0.5000
Mg1 Mg 0.0000 0.0000 0.2500
```

[4]
# Pm3Sm3Mg
Simulated powder diffraction line list, copper Kα. Input: DFT lattice parameters and positions (PBE).
Peak positions follow from Bragg's law for the DFT cell and can differ from measured ones.

Most intense lines, 2θ = 10–90°, in order of rising 2θ:
2θ (°), intensity
28.4, 25.4
31.1, 100.0
31.5, 28.1
34.3, 46.2
38.3, 13.6
42.9, 15.2
50.4, 25.0
53.8, 27.6
60.4, 15.1
60.6, 25.9

Crystal structure
```
data_Pm3Sm3Mg
_chemical_formula_sum 'Pm18 Sm18 Mg6'
_cell_length_a 6.2779
_cell_length_b 6.2779
_cell_length_c 42.6537
_cell_angle_alpha 90.00
_cell_angle_beta 90.00
_cell_angle_gamma 120.00
_symmetry_space_group_name_H-M 'R -3'
_symmetry_Int_Tables_number 148
_symmetry_space_group_name_Hall '-R 3'
loop_
_atom_site_label
_atom_site_type_symbol
_atom_site_fract_x
_atom_site_fract_y
_atom_site_fract_z
Pm1 Pm 0.9998 0.3331 0.1306
Sm1 Sm 0.0000 0.3342 0.9374
Mg1 Mg 0.0000 0.0000 0.3333
```